[1]
# RbLiSb2Cl8
Computed XRD peak list, a wavelength of 1.5418 Å. Input: a structure optimized by DFT (GGA-PBE).
No peak broadening, texture or thermal motion is included.

Most intense lines, 5 to 70 degrees two-theta, sorted by position:
| 2θ/deg | Rel. int. |
| --- | --- |
| 12.97 | 39 |
| 13.66 | 30 |
| 16.35 | 24 |
| 16.92 | 100 |
| 20.65 | 53 |
| 26.71 | 26 |
| 31.92 | 25 |
| 33.12 | 23 |
| 35.39 | 23 |
| 37.95 | 25 |

Cell and atoms:
```
data_RbLiSb2Cl8
_cell_length_a 6.6212
_cell_length_b 6.9748
_cell_length_c 9.2388
_cell_angle_alpha 86.62
_cell_angle_beta 86.71
_cell_angle_gamma 78.57
_space_group_name_H-M_alt 'P 1'
_space_group_IT_number 1
loop_
_space_group_symop_operation_xyz
'x,y,z'
loop_
_atom_site_label
_atom_site_type_symbol
_atom_site_fract_x
_atom_site_fract_y
_atom_site_fract_z
_atom_site_occupancy
Rb1 Rb 0.0000 0.0000 0.0000 1
Li1 Li 0.0000 0.0000 0.5000 1
Sb1 Sb 0.4809 0.4845 0.7261 1
Sb2 Sb 0.5191 0.5155 0.2739 1
Cl1 Cl 0.1944 0.8090 0.7005 1
Cl2 Cl 0.2527 0.8445 0.2898 1
Cl3 Cl 0.2897 0.3574 0.5504 1
Cl4 Cl 0.2962 0.3643 0.9393 1
Cl5 Cl 0.7038 0.6357 0.0607 1
Cl6 Cl 0.7103 0.6426 0.4496 1
Cl7 Cl 0.7473 0.1555 0.7102 1
Cl8 Cl 0.8056 0.1910 0.2995 1
```

[2]
# TbNdTlTe
Computed XRD peak list, a wavelength of 1.5418 Å. Input: a structure optimized by DFT (GGA-PBE).
No peak broadening, texture or thermal motion is included.

Most intense lines, 5 to 70 degrees two-theta, sorted by position:
| 2θ/deg | Rel. int. |
| --- | --- |
| 14.00 | 2 |
| 19.93 | 4 |
| 28.22 | 44 |
| 28.33 | 86 |
| 40.44 | 100 |
| 50.09 | 36 |
| 58.36 | 6 |
| 58.60 | 11 |
| 66.12 | 16 |
| 66.32 | 31 |

Cell and atoms:
```
data_TbNdTlTe
_cell_length_a 4.4553
_cell_length_b 4.4553
_cell_length_c 6.3243
_cell_angle_alpha 90.00
_cell_angle_beta 90.00
_cell_angle_gamma 90.00
_space_group_name_H-M_alt 'P 1'
_space_group_IT_number 1
loop_
_space_group_symop_operation_xyz
'x,y,z'
loop_
_atom_site_label
_atom_site_type_symbol
_atom_site_fract_x
_atom_site_fract_y
_atom_site_fract_z
_atom_site_occupancy
Tb1 Tb 0.0000 0.0000 0.0000 1
Nd1 Nd 0.5000 0.5000 0.5000 1
Tl1 Tl 0.0000 0.0000 0.5000 1
Te1 Te 0.5000 0.5000 0.0000 1
```

[3]
# CuPt6Rh4
Computed XRD peak list, a wavelength of 1.5418 Å. Input: a structure optimized by DFT (GGA-PBE).
No peak broadening, texture or thermal motion is included.

Most intense lines, 5 to 70 degrees two-theta, sorted by position:
| 2θ/deg | Rel. int. |
| --- | --- |
| 27.65 | 68 |
| 31.22 | 68 |
| 33.48 | 18 |
| 37.50 | 17 |
| 41.25 | 15 |
| 41.41 | 23 |
| 42.13 | 52 |
| 43.09 | 100 |
| 58.40 | 33 |
| 60.56 | 23 |

Cell and atoms:
```
data_CuPt6Rh4
_cell_length_a 6.4821
_cell_length_b 6.4821
_cell_length_c 6.4821
_cell_angle_alpha 116.91
_cell_angle_beta 116.91
_cell_angle_gamma 95.45
_space_group_name_H-M_alt 'P 1'
_space_group_IT_number 1
loop_
_space_group_symop_operation_xyz
'x,y,z'
loop_
_atom_site_label
_atom_site_type_symbol
_atom_site_fract_x
_atom_site_fract_y
_atom_site_fract_z
_atom_site_occupancy
Cu1 Cu 0.0000 0.0000 0.0000 1
Pt1 Pt 0.0000 0.5000 0.5000 1
Pt2 Pt 0.1205 0.3976 0.0000 1
Pt3 Pt 0.3976 0.1205 0.0000 1
Pt4 Pt 0.5000 0.0000 0.5000 1
Pt5 Pt 0.6024 0.6024 0.7230 1
Pt6 Pt 0.8795 0.8795 0.2770 1
Rh1 Rh 0.2603 0.2603 0.6440 1
Rh2 Rh 0.3836 0.7397 0.0000 1
Rh3 Rh 0.6164 0.6164 0.3560 1
Rh4 Rh 0.7397 0.3836 0.0000 1
```

[4]
# UFe2H8
Computed XRD peak list, a wavelength of 1.5418 Å. Input: a structure optimized by DFT (GGA-PBE).
No peak broadening, texture or thermal motion is included.

Most intense lines, 5 to 70 degrees two-theta, sorted by position:
| 2θ/deg | Rel. int. |
| --- | --- |
| 23.49 | 17 |
| 23.66 | 37 |
| 31.86 | 53 |
| 31.98 | 100 |
| 41.40 | 36 |
| 41.70 | 17 |
| 43.19 | 16 |
| 49.81 | 17 |
| 53.42 | 24 |
| 61.37 | 23 |

Cell and atoms:
```
data_UFe2H8
_cell_length_a 4.1890
_cell_length_b 4.3625
_cell_length_c 4.3625
_cell_angle_alpha 120.47
_cell_angle_beta 90.00
_cell_angle_gamma 90.00
_space_group_name_H-M_alt 'P 1'
_space_group_IT_number 1
loop_
_space_group_symop_operation_xyz
'x,y,z'
loop_
_atom_site_label
_atom_site_type_symbol
_atom_site_fract_x
_atom_site_fract_y
_atom_site_fract_z
_atom_site_occupancy
U1 U 0.0000 0.0000 0.0000 1
Fe1 Fe 0.5000 0.2931 0.6301 1
Fe2 Fe 0.5000 0.6301 0.2931 1
H1 H 0.2196 0.5173 0.9828 1
H2 H 0.2196 0.9828 0.5173 1
H3 H 0.2363 0.5051 0.5051 1
H4 H 0.5000 0.2017 0.9651 1
H5 H 0.5000 0.9651 0.2017 1
H6 H 0.7637 0.5051 0.5051 1
H7 H 0.7804 0.5173 0.9828 1
H8 H 0.7804 0.9828 0.5173 1
```

[5]
# Zn4Hg5
Computed XRD peak list, a wavelength of 1.5418 Å. Input: a structure optimized by DFT (GGA-PBE).
No peak broadening, texture or thermal motion is included.

Most intense lines, 5 to 70 degrees two-theta, sorted by position:
| 2θ/deg | Rel. int. |
| --- | --- |
| 25.43 | 29 |
| 32.74 | 11 |
| 35.24 | 100 |
| 35.68 | 38 |
| 37.28 | 68 |
| 52.23 | 27 |
| 54.41 | 11 |
| 57.34 | 20 |
| 58.55 | 10 |
| 65.91 | 16 |

Cell and atoms:
```
data_Zn4Hg5
_cell_length_a 8.3561
_cell_length_b 8.3561
_cell_length_c 6.4256
_cell_angle_alpha 90.00
_cell_angle_beta 90.00
_cell_angle_gamma 120.00
_space_group_name_H-M_alt 'P 1'
_space_group_IT_number 1
loop_
_space_group_symop_operation_xyz
'x,y,z'
loop_
_atom_site_label
_atom_site_type_symbol
_atom_site_fract_x
_atom_site_fract_y
_atom_site_fract_z
_atom_site_occupancy
Zn1 Zn 0.0000 0.0000 0.0000 1
Zn2 Zn 0.0000 0.0000 0.5000 1
Zn3 Zn 0.0000 0.3817 0.2500 1
Zn4 Zn 0.0000 0.6183 0.7500 1
Zn5 Zn 0.3817 0.0000 0.2500 1
Zn6 Zn 0.3817 0.3817 0.7500 1
Zn7 Zn 0.6183 0.0000 0.7500 1
Zn8 Zn 0.6183 0.6183 0.2500 1
Hg1 Hg 0.0000 0.2806 0.7500 1
Hg2 Hg 0.0000 0.7194 0.2500 1
Hg3 Hg 0.2806 0.0000 0.7500 1
Hg4 Hg 0.2806 0.2806 0.2500 1
Hg5 Hg 0.3333 0.6667 0.0000 1
Hg6 Hg 0.3333 0.6667 0.5000 1
Hg7 Hg 0.6667 0.3333 0.0000 1
Hg8 Hg 0.6667 0.3333 0.5000 1
Hg9 Hg 0.7194 0.0000 0.2500 1
Hg10 Hg 0.7194 0.7194 0.7500 1
```